No. 1
NdMn5Cu2O12: computed powder X-ray diffraction pattern (Cu Ka), based on DFT lattice parameters and positions (GGA+U).

Principal peaks in the range 10 to 80 degrees two-theta, by intensity:
33.6°, rel. 100; 34.1°, rel. 94; 33.9°, rel. 92; 60.2°, rel. 47; 60.5°, rel. 47; 61.0°, rel. 44; 48.0°, rel. 25; 49.4°, rel. 24; 48.5°, rel. 24; 16.8°, rel. 22

Structural model:
a b c (Å): 6.488 6.488 6.488
angles (deg): 110.61 109.27 108.54
Sites, in units of the cell vectors:
Nd  0.000  0.000  0.000
Mn  0.000  0.000  0.500
Mn  0.000  0.500  0.000
Mn  0.500  0.000  0.000
Mn  0.500  0.500  0.000
Mn  0.500  0.500  0.500
Cu  0.000  0.500  0.500
Cu  0.500  0.000  0.500
O  0.130  0.302  0.828
O  0.169  0.474  0.305
O  0.169  0.864  0.695
O  0.312  0.177  0.489
O  0.312  0.823  0.134
O  0.473  0.302  0.172
O  0.527  0.698  0.828
O  0.688  0.177  0.866
O  0.688  0.823  0.511
O  0.831  0.136  0.305
O  0.831  0.526  0.695
O  0.870  0.698  0.172

=====

No. 2
NdMn4Cu3O12: computed powder X-ray diffraction pattern (Cu Ka), based on DFT lattice parameters and positions (GGA+U).

Principal peaks in the range 10 to 80 degrees two-theta, by intensity:
34.0°, rel. 100; 60.9°, rel. 48; 48.9°, rel. 25; 71.6°, rel. 12; 16.8°, rel. 11; 38.2°, rel. 9; 45.5°, rel. 9; 42.0°, rel. 6; 23.9°, rel. 5; 29.4°, rel. 3

Structural model:
a b c (Å): 6.455 6.455 6.455
angles (deg): 109.47 109.47 109.47
Sites, in units of the cell vectors:
Nd  0.000  0.000  0.000
Mn  0.000  0.000  0.500
Mn  0.000  0.500  0.000
Mn  0.500  0.000  0.000
Mn  0.500  0.500  0.500
Cu  0.000  0.500  0.500
Cu  0.500  0.000  0.500
Cu  0.500  0.500  0.000
O  0.136  0.306  0.829
O  0.171  0.477  0.306
O  0.171  0.864  0.694
O  0.306  0.171  0.477
O  0.306  0.829  0.136
O  0.477  0.306  0.171
O  0.523  0.694  0.829
O  0.694  0.171  0.864
O  0.694  0.829  0.523
O  0.829  0.136  0.306
O  0.829  0.523  0.694
O  0.864  0.694  0.171

=====

No. 3
Sr2Nd2MnCuO8: computed powder X-ray diffraction pattern (Cu Ka), based on DFT lattice parameters and positions (GGA+U).

Principal peaks in the range 10 to 80 degrees two-theta, by intensity:
31.4°, rel. 100; 32.9°, rel. 71; 47.2°, rel. 37; 57.8°, rel. 36; 42.7°, rel. 30; 43.8°, rel. 28; 65.5°, rel. 21; 24.1°, rel. 16; 55.0°, rel. 12; 78.5°, rel. 11

Structural model:
a b c (Å): 3.851 3.851 12.693
angles (deg): 90.00 90.00 90.00
Sites, in units of the cell vectors:
Sr  0.000  0.000  0.144
Sr  0.000  0.000  0.856
Nd  0.500  0.500  0.362
Nd  0.500  0.500  0.638
Mn  0.500  0.500  0.000
Cu  0.000  0.000  0.500
O  0.000  0.000  0.342
O  0.000  0.000  0.658
O  0.000  0.500  0.000
O  0.000  0.500  0.500
O  0.500  0.000  0.000
O  0.500  0.000  0.500
O  0.500  0.500  0.187
O  0.500  0.500  0.813